Diffraction record for V2P2O7. The X-ray diffraction stick pattern is theoretical, not measured: it uses a DFT-relaxed cell (PBE+U, Alexandria) and Cu Kα.

Cell and atoms:
Lattice parameters (Å, degrees): 4.541 10.415 5.428 90.00 96.54 90.00
Space group P2_1/c (No. 14)
Symmetry-distinct sites (fractional):
V: 0.094 0.156 0.419 [4 per cell]
P: 0.360 0.610 0.650 [4 per cell]
O: 0.128 0.675 0.462 [4 per cell]
O: 0.216 0.545 0.861 [4 per cell]
O: 0.384 0.199 0.753 [4 per cell]
O: 0.500 0.000 0.000 [2 per cell]

Principal peaks in the range 10 to 90 degrees two-theta, by angle:
d/Å, Position (°2θ), intensity, (hkl)
3.410, 26.13, 10, 1 2 0
3.130, 28.52, 68, 1 1 1
3.001, 29.77, 100, 1 2 -1
2.751, 32.54, 12, 1 3 0
2.608, 34.39, 29, 0 4 0
2.207, 40.89, 20, 1 0 2
2.124, 42.56, 16, 1 4 -1
2.004, 45.25, 10, 2 2 -1
1.735, 52.77, 10, 0 6 0
1.641, 56.05, 10, 2 0 2